No. 1
# Li2FeNiP2O8
Calculated powder diffraction line list, Cu Ka. Input: a cell relaxed with PBE+U.

Structural model:
```
Li2FeNiP2O8
1.0
4.741 0.000 0.000
0.000 6.007 0.000
-0.044 0.000 10.297
Li Fe Ni P O
4 2 2 4 16
direct
0.000 0.000 0.000
0.000 0.500 0.000
0.500 0.000 0.500
0.500 0.500 0.500
0.024 0.250 0.277
0.976 0.750 0.723
0.484 0.250 0.780
0.516 0.750 0.220
0.083 0.750 0.403
0.419 0.750 0.909
0.581 0.250 0.091
0.917 0.250 0.597
0.203 0.750 0.543
0.222 0.546 0.332
0.222 0.954 0.332
0.242 0.250 0.602
0.258 0.250 0.094
0.283 0.544 0.837
0.283 0.956 0.837
0.295 0.750 0.049
0.705 0.250 0.951
0.717 0.044 0.163
0.717 0.456 0.163
0.742 0.750 0.906
0.758 0.750 0.398
0.778 0.046 0.668
0.778 0.454 0.668
0.797 0.250 0.457
```

Top 10 peaks for 10 to 80 degrees two-theta, low angle first:
| 2θ/deg | I/Imax |
| --- | --- |
| 17.22 | 41.5 |
| 20.63 | 59.2 |
| 25.45 | 100.0 |
| 29.75 | 69.9 |
| 35.52 | 59.1 |
| 35.64 | 54.5 |
| 36.48 | 29.8 |
| 52.22 | 21.5 |
| 52.34 | 25.3 |
| 56.65 | 27.1 |


No. 2
# MgTlV4O10
Calculated powder diffraction line list, Cu Ka. Input: a cell relaxed with PBE+U.

Structural model:
```
MgTlV4O10
1.0
3.853 0.000 0.000
1.923 5.714 0.000
0.016 1.432 10.879
Mg Tl V O
1 1 4 10
direct
0.000 0.000 0.000
0.892 0.200 0.548
0.232 0.532 0.231
0.333 0.334 0.865
0.529 0.938 0.232
0.645 0.713 0.866
0.053 0.891 0.186
0.168 0.666 0.917
0.265 0.464 0.381
0.333 0.334 0.715
0.380 0.237 0.164
0.499 0.003 0.948
0.531 0.933 0.380
0.607 0.790 0.717
0.690 0.616 0.190
0.824 0.352 0.912
```

Top 10 peaks for 10 to 80 degrees two-theta, low angle first:
| 2θ/deg | I/Imax |
| --- | --- |
| 16.67 | 48.1 |
| 18.58 | 80.9 |
| 21.11 | 72.8 |
| 24.55 | 100.0 |
| 26.09 | 68.7 |
| 28.89 | 89.9 |
| 30.07 | 67.5 |
| 33.22 | 52.3 |
| 33.48 | 60.5 |
| 33.72 | 53.9 |


No. 3
# Li13Fe2O12
Calculated powder diffraction line list, Cu Ka. Input: a cell relaxed with PBE+U.

Structural model:
```
Li13Fe2O12
1.0
5.561 0.000 0.000
-0.029 5.626 0.000
-0.242 -0.024 7.945
Li Fe O
13 2 12
direct
0.000 0.000 0.000
0.008 0.395 0.573
0.101 0.494 0.883
0.216 0.670 0.155
0.219 0.799 0.437
0.333 0.074 0.698
0.443 0.320 0.211
0.518 0.470 0.519
0.560 0.906 0.090
0.647 0.992 0.407
0.683 0.305 0.910
0.800 0.564 0.192
0.889 0.870 0.694
0.029 0.179 0.297
0.506 0.686 0.805
0.001 0.327 0.079
0.038 0.057 0.521
0.208 0.829 0.855
0.209 0.461 0.364
0.317 0.004 0.243
0.346 0.410 0.729
0.504 0.813 0.584
0.515 0.564 0.035
0.674 0.969 0.873
0.735 0.327 0.360
0.801 0.535 0.750
0.864 0.899 0.218
```

Top 10 peaks for 10 to 80 degrees two-theta, low angle first:
| 2θ/deg | I/Imax |
| --- | --- |
| 19.26 | 100.0 |
| 19.36 | 50.4 |
| 19.77 | 32.6 |
| 22.40 | 66.2 |
| 22.54 | 32.3 |
| 37.46 | 29.2 |
| 37.49 | 23.5 |
| 37.84 | 22.0 |
| 51.90 | 25.7 |
| 56.53 | 21.9 |


No. 4
# BaMgMn2O5
Calculated powder diffraction line list, Cu Ka. Input: a cell relaxed with PBE+U.

Structural model:
```
BaMgMn2O5
1.0
4.149 0.000 0.000
0.000 1.948 7.066
0.000 -1.948 7.066
Ba Mg Mn O
1 1 2 5
direct
0.000 0.000 0.000
0.000 0.237 0.237
0.500 0.379 0.379
0.500 0.669 0.669
0.000 0.374 0.374
0.000 0.676 0.676
0.500 0.217 0.217
0.500 0.520 0.520
0.500 0.866 0.866
```

Top 10 peaks for 10 to 80 degrees two-theta, low angle first:
| 2θ/deg | I/Imax |
| --- | --- |
| 12.53 | 29.1 |
| 24.88 | 42.0 |
| 29.76 | 75.3 |
| 32.15 | 100.0 |
| 33.31 | 56.3 |
| 38.21 | 23.2 |
| 43.63 | 36.2 |
| 46.63 | 29.2 |
| 53.71 | 31.0 |
| 58.50 | 22.2 |


No. 5
# MgCoO3
Calculated powder diffraction line list, Cu Ka. Input: a cell relaxed with PBE+U.

Structural model:
```
MgCoO3
1.0
3.698 0.000 0.000
0.000 3.698 0.000
0.000 0.000 3.698
Mg Co O
1 1 3
direct
0.000 0.000 0.000
0.500 0.500 0.500
0.000 0.500 0.500
0.500 0.000 0.500
0.500 0.500 0.000
```

Top 8 peaks for 10 to 80 degrees two-theta, low angle first:
| 2θ/deg | I/Imax |
| --- | --- |
| 24.07 | 73.7 |
| 34.30 | 100.0 |
| 42.34 | 0.9 |
| 49.29 | 59.2 |
| 55.58 | 22.9 |
| 61.42 | 36.2 |
| 72.27 | 31.0 |
| 77.44 | 9.1 |


No. 6
# Li5Co3O8
Calculated powder diffraction line list, Cu Ka. Input: a cell relaxed with PBE+U.

Structural model:
```
Li5Co3O8
1.0
4.967 0.000 0.000
0.000 5.841 0.000
-1.657 0.000 4.782
Li Co O
5 3 8
direct
0.000 0.000 0.000
0.000 0.242 0.500
0.000 0.758 0.500
0.500 0.000 0.500
0.500 0.500 0.500
0.000 0.500 0.000
0.500 0.245 0.000
0.500 0.755 0.000
0.245 0.271 0.219
0.245 0.500 0.775
0.245 0.729 0.219
0.278 0.000 0.760
0.722 0.000 0.240
0.755 0.271 0.781
0.755 0.500 0.225
0.755 0.729 0.781
```

Top 10 peaks for 10 to 80 degrees two-theta, low angle first:
| 2θ/deg | I/Imax |
| --- | --- |
| 15.17 | 16.3 |
| 18.55 | 100.0 |
| 24.33 | 13.0 |
| 26.63 | 11.3 |
| 36.22 | 27.1 |
| 36.72 | 12.6 |
| 43.94 | 60.3 |
| 44.36 | 29.0 |
| 63.72 | 23.8 |
| 64.72 | 15.5 |